Record 1
Diffraction record for Ac2Ag3Ge4. The powder XRD pattern is theoretical, not measured: it uses a cell relaxed with PBE and Cu Kα (weighted mean of Kα1 and Kα2).
Neutral-atom scattering factors, no anomalous dispersion.

Most intense lines, 10° ≤ 2θ ≤ 80°, sorted by position:
Position (°2θ)	Rel. int.
24.4	25
26.7	26
31.0	47
32.8	56
33.1	100
34.7	59
35.0	40
36.4	92
36.5	34
47.5	20
53.8	25
56.4	36

Atomic structure:
```
Ac2Ag3Ge4
1.0
3.099 -8.095 0.000
3.099 8.095 0.000
0.000 0.000 8.191
Ac Ag Ge
4 6 8
Direct
0.113 0.887 0.913
0.387 0.613 0.413
0.613 0.387 0.587
0.887 0.113 0.087
0.000 0.000 0.500
0.033 0.467 0.750
0.467 0.033 0.250
0.500 0.500 0.000
0.533 0.967 0.750
0.967 0.533 0.250
0.178 0.822 0.520
0.197 0.303 0.750
0.303 0.197 0.250
0.322 0.678 0.020
0.678 0.322 0.980
0.697 0.803 0.750
0.803 0.697 0.250
0.822 0.178 0.480
```

=====

Record 2
Diffraction record for Ac3AgGe2. The powder XRD pattern is theoretical, not measured: it uses a cell relaxed with PBE and Cu Kα (weighted mean of Kα1 and Kα2).
Neutral-atom scattering factors, no anomalous dispersion.

Most intense lines, 10° ≤ 2θ ≤ 80°, sorted by position:
Position (°2θ)	Rel. int.
24.8	43
25.3	38
27.7	58
28.5	100
28.8	43
29.1	37
29.5	29
31.9	90
35.1	32
37.0	27
38.9	57
41.3	28

Atomic structure:
```
Ac3AgGe2
1.0
12.655 0.000 0.000
0.000 4.631 0.000
0.000 0.000 12.768
Ac Ag Ge
12 4 8
Direct
0.057 0.250 0.123
0.124 0.750 0.560
0.206 0.250 0.803
0.294 0.750 0.303
0.376 0.250 0.060
0.443 0.750 0.623
0.557 0.250 0.377
0.624 0.750 0.940
0.706 0.250 0.697
0.794 0.750 0.197
0.876 0.250 0.440
0.943 0.750 0.877
0.130 0.250 0.368
0.370 0.750 0.868
0.630 0.250 0.132
0.870 0.750 0.632
0.019 0.750 0.316
0.188 0.750 0.997
0.312 0.250 0.497
0.481 0.250 0.816
0.519 0.750 0.184
0.688 0.750 0.503
0.812 0.250 0.003
0.981 0.250 0.684
```

=====

Record 3
Diffraction record for Ac3AgGe. The powder XRD pattern is theoretical, not measured: it uses a cell relaxed with PBE and Cu Kα (weighted mean of Kα1 and Kα2).
Neutral-atom scattering factors, no anomalous dispersion.

Most intense lines, 10° ≤ 2θ ≤ 80°, sorted by position:
Position (°2θ)	Rel. int.
24.5	100
26.2	35
26.4	26
27.9	51
29.2	85
29.6	52
30.3	52
30.9	88
31.2	39
34.6	21
34.8	24
39.8	36

Atomic structure:
```
Ac3AgGe
1.0
9.135 0.000 0.000
0.000 6.389 0.000
-1.570 0.000 11.951
Ac Ag Ge
12 4 4
Direct
0.064 0.071 0.149
0.064 0.429 0.649
0.298 0.583 0.947
0.298 0.917 0.447
0.367 0.042 0.761
0.367 0.458 0.261
0.633 0.542 0.739
0.633 0.958 0.239
0.702 0.083 0.553
0.702 0.417 0.053
0.936 0.571 0.351
0.936 0.929 0.851
0.376 0.108 0.040
0.376 0.392 0.540
0.624 0.608 0.460
0.624 0.892 0.960
0.045 0.573 0.104
0.045 0.927 0.604
0.955 0.073 0.396
0.955 0.427 0.896
```

=====

Record 4
Diffraction record for Ac3AgGe4. The powder XRD pattern is theoretical, not measured: it uses a cell relaxed with PBE and Cu Kα (weighted mean of Kα1 and Kα2).
Neutral-atom scattering factors, no anomalous dispersion.

Most intense lines, 10° ≤ 2θ ≤ 80°, sorted by position:
Position (°2θ)	Rel. int.
21.9	35
26.0	100
32.5	20
33.6	36
35.0	23
36.6	19
37.6	26
38.5	18
49.4	19
51.5	18
59.8	15
68.0	18

Atomic structure:
```
Ac3AgGe4
1.0
-2.391 3.096 8.042
2.391 -3.096 8.042
2.391 3.096 -8.042
Ac Ag Ge
3 1 4
Direct
0.000 0.000 0.000
0.310 0.810 0.500
0.690 0.190 0.500
0.500 0.500 0.000
0.085 0.379 0.706
0.327 0.621 0.706
0.673 0.379 0.294
0.915 0.621 0.294
```

=====

Record 5
Diffraction record for AcIn2Ag2Ge. The powder XRD pattern is theoretical, not measured: it uses a cell relaxed with PBE and Cu Kα (weighted mean of Kα1 and Kα2).
Neutral-atom scattering factors, no anomalous dispersion.

Most intense lines, 10° ≤ 2θ ≤ 80°, sorted by position:
Position (°2θ)	Rel. int.
21.0	30
25.3	86
27.9	22
29.9	100
39.9	59
42.7	99
45.5	16
47.8	31
57.7	20
59.9	25
66.3	21
74.4	44

Atomic structure:
```
AcIn2Ag2Ge
1.0
-2.259 2.259 8.465
2.259 -2.259 8.465
2.259 2.259 -8.465
Ac In Ag Ge
1 2 2 1
Direct
0.000 0.000 0.000
0.250 0.750 0.500
0.750 0.250 0.500
0.354 0.354 0.000
0.646 0.646 0.000
0.500 0.500 0.000
```

=====

Record 6
Diffraction record for Ac3MgAg2Ge6. The powder XRD pattern is theoretical, not measured: it uses a cell relaxed with PBE and Cu Kα (weighted mean of Kα1 and Kα2).
Neutral-atom scattering factors, no anomalous dispersion.

Most intense lines, 10° ≤ 2θ ≤ 80°, sorted by position:
Position (°2θ)	Rel. int.
19.0	44
26.0	53
28.1	100
30.6	49
34.1	78
34.9	56
38.6	62
42.0	52
48.4	25
54.2	19
58.0	28
67.0	25

Atomic structure:
```
Ac3MgAg2Ge6
1.0
6.358 0.000 0.000
-3.179 5.506 0.000
0.000 0.000 8.758
Ac Mg Ag Ge
3 1 2 6
Direct
0.000 0.000 0.000
0.333 0.667 0.637
0.667 0.333 0.363
0.000 0.000 0.500
0.333 0.667 0.021
0.667 0.333 0.979
0.197 0.394 0.291
0.197 0.803 0.291
0.394 0.197 0.709
0.606 0.803 0.291
0.803 0.197 0.709
0.803 0.606 0.709
```

=====

Record 7
Diffraction record for Ac2AgGePt6. The powder XRD pattern is theoretical, not measured: it uses a cell relaxed with PBE and Cu Kα (weighted mean of Kα1 and Kα2).
Neutral-atom scattering factors, no anomalous dispersion.

Most intense lines, 10° ≤ 2θ ≤ 80°, sorted by position:
Position (°2θ)	Rel. int.
27.3	40
27.5	35
28.2	32
29.3	36
38.1	100
38.4	70
38.8	21
39.2	35
39.9	69
41.2	52
55.6	20
57.6	24

Atomic structure:
```
Ac2AgGePt6
1.0
6.109 -2.774 0.000
6.109 2.774 0.000
-5.909 0.000 6.491
Ac Ag Ge Pt
2 1 1 6
Direct
0.237 0.237 0.199
0.763 0.763 0.801
0.500 0.500 0.000
0.000 0.000 0.500
0.250 0.250 0.594
0.253 0.742 0.729
0.258 0.747 0.271
0.742 0.253 0.729
0.747 0.258 0.271
0.750 0.750 0.406
```

=====

Record 8
Diffraction record for AcAgGeS4. The powder XRD pattern is theoretical, not measured: it uses a cell relaxed with PBE and Cu Kα (weighted mean of Kα1 and Kα2).
Neutral-atom scattering factors, no anomalous dispersion.

Most intense lines, 10° ≤ 2θ ≤ 80°, sorted by position:
Position (°2θ)	Rel. int.
18.9	100
20.5	47
25.4	91
27.1	36
27.8	43
28.2	38
33.3	78
34.9	72
35.1	48
38.3	65
47.5	29
54.6	32

Atomic structure:
```
AcAgGeS4
1.0
6.521 0.000 0.000
0.000 7.019 0.000
-1.837 0.000 7.447
Ac Ag Ge S
2 2 2 8
Direct
0.233 0.250 0.058
0.767 0.750 0.942
0.199 0.250 0.537
0.801 0.750 0.463
0.240 0.750 0.317
0.760 0.250 0.683
0.001 0.012 0.736
0.001 0.488 0.736
0.362 0.750 0.068
0.468 0.750 0.579
0.532 0.250 0.421
0.638 0.250 0.932
0.999 0.512 0.264
0.999 0.988 0.264
```